This entry pairs a crystal structure of PrSm2DyY2 with its simulated powder diffraction line list. Radiation: λ = 1.5418 Å (Cu Kα). Structure: a DFT-relaxed cell (PBE, Alexandria).
Kinematic intensities with the Lorentz-polarization factor, no thermal factor.

The 10 most intense peaks (2θ from 10° to 80°), by intensity:
Position (°2θ), I (rel.), (hkl)
30.0, 100, 0 6 0
28.7, 61, 2 2 0
33.6, 49, 2 4 0
31.0, 36, 1 2 1
35.7, 33, 1 4 1
40.8, 32, 2 3 1
33.0, 22, 1 6 0
16.6, 19, 1 2 0
29.3, 18, 1 0 1
26.5, 17, 0 1 1

Cell and atoms:
```
PrSm2DyY2
1.0
6.6346 0.0000 0.0000
0.0000 17.8914 0.0000
0.0000 0.0000 3.4294
Pr Sm Dy Y
2 4 2 4
Direct
0.0000 0.0000 0.0000 Pr
0.5000 0.5000 0.5000 Pr
0.2211 0.3511 0.5000 Sm
0.2789 0.8511 0.0000 Sm
0.7211 0.1489 0.0000 Sm
0.7789 0.6489 0.5000 Sm
0.0000 0.5000 0.0000 Dy
0.5000 0.0000 0.5000 Dy
0.2246 0.1832 0.0000 Y
0.2754 0.6832 0.5000 Y
0.7246 0.3168 0.5000 Y
0.7754 0.8168 0.0000 Y
```

***

This entry pairs a crystal structure of GaAgSnSe4 with its simulated powder diffraction line list. Radiation: λ = 1.5418 Å (Cu Kα). Structure: a DFT-relaxed cell (PBE, Alexandria).
Kinematic intensities with the Lorentz-polarization factor, no thermal factor.

The 10 most intense peaks (2θ from 10° to 80°), by intensity:
Position (°2θ), I (rel.), (hkl)
26.6, 100, 1 1 2
44.6, 47, 2 0 4
51.2, 30, 3 1 2
43.0, 26, 2 2 0
16.9, 15, 1 0 1
79.9, 15, 4 2 4
34.6, 14, 1 2 1
54.2, 13, 1 1 6
71.5, 11, 1 3 6
28.4, 10, 1 0 3

Cell and atoms:
```
GaAgSnSe4
1.0
5.9557 0.0000 0.0000
0.0000 5.9557 0.0000
0.0000 0.0000 11.0932
Ga Ag Sn Se
2 2 2 8
Direct
0.0000 0.0000 0.0000 Ga
0.5000 0.5000 0.5000 Ga
0.0000 0.0000 0.5000 Ag
0.5000 0.5000 0.0000 Ag
0.0000 0.5000 0.2500 Sn
0.5000 0.0000 0.7500 Sn
0.2191 0.2489 0.8686 Se
0.2489 0.7809 0.1314 Se
0.2511 0.7191 0.6314 Se
0.2809 0.2511 0.3686 Se
0.7191 0.7489 0.3686 Se
0.7489 0.2809 0.6314 Se
0.7511 0.2191 0.1314 Se
0.7809 0.7511 0.8686 Se
```

***

This entry pairs a crystal structure of ReRh3 with its simulated powder diffraction line list. Radiation: λ = 1.5418 Å (Cu Kα). Structure: a DFT-relaxed cell (PBE, Alexandria).
Kinematic intensities with the Lorentz-polarization factor, no thermal factor.

The 10 most intense peaks (2θ from 10° to 80°), by intensity:
Position (°2θ), I (rel.), (hkl)
40.6, 100, 1 1 0
46.9, 16, 0 2 0
47.2, 16, 1 0 -2
47.4, 16, 1 0 2
69.0, 15, 1 2 2
68.8, 10, 1 2 -2
16.3, 6, 0 0 1
69.2, 5, 2 0 0
28.3, 3, 0 1 1
23.0, 2, 0 1 0

Cell and atoms:
```
ReRh3
1.0
2.7147 0.0000 0.0000
0.0000 3.8709 0.0000
-0.0260 0.0000 5.4419
Re Rh
1 3
Direct
0.0000 0.0000 0.0000 Re
0.0000 0.0000 0.5000 Rh
0.5004 0.5000 0.2454 Rh
0.4996 0.5000 0.7546 Rh
```